(1)
Calculated X-ray powder pattern
Compound: KNpInO6
Radiation: a wavelength of 1.5418 Å
Structure: DFT lattice parameters and positions (PBE)

a = 5.6279 Å, b = 5.6279 Å, c = 5.9300 Å
α = 90.00°, β = 90.00°, γ = 120.00°
Atoms (fractional coordinates):
K  0.0000  0.0000  0.0000
Np  0.6667  0.3333  0.5000
In  0.3333  0.6667  0.5000
O  0.3866  0.0249  0.6907
O  0.3866  0.3617  0.3093
O  0.6383  0.0249  0.3093
O  0.6383  0.6134  0.6907
O  0.9751  0.3617  0.6907
O  0.9751  0.6134  0.3093

The 8 most intense peaks (2θ = 10–80°), by angle:
2θ = 14.94°, rel. 96; 2θ = 18.20°, rel. 50; 2θ = 23.63°, rel. 100; 2θ = 31.80°, rel. 47; 2θ = 35.30°, rel. 55; 2θ = 44.38°, rel. 57; 2θ = 51.98°, rel. 23; 2θ = 58.98°, rel. 24

=====

(2)
Calculated X-ray powder pattern
Compound: K2NpInS4
Radiation: a wavelength of 1.5418 Å
Structure: DFT lattice parameters and positions (PBE)

a = 8.4072 Å, b = 8.4072 Å, c = 8.4072 Å
α = 120.54°, β = 119.69°, γ = 89.80°
Atoms (fractional coordinates):
K  0.0000  0.0000  0.0000
K  0.5000  0.0000  0.0000
K  0.5000  0.0000  0.5000
K  0.5000  0.5000  0.5000
Np  0.0000  0.0000  0.5000
Np  0.0000  0.5000  0.0000
In  0.0000  0.5000  0.5000
In  0.5000  0.5000  0.0000
S  0.2031  0.7370  0.4661
S  0.2292  0.2630  0.9661
S  0.2312  0.2639  0.5327
S  0.2312  0.6986  0.9673
S  0.7688  0.3014  0.0327
S  0.7688  0.7361  0.4673
S  0.7708  0.7370  0.0339
S  0.7969  0.2630  0.5339

The 8 most intense peaks (2θ = 10–80°), by angle:
2θ = 12.85°, rel. 100; 2θ = 24.96°, rel. 33; 2θ = 25.86°, rel. 42; 2θ = 26.09°, rel. 41; 2θ = 30.01°, rel. 49; 2θ = 30.12°, rel. 97; 2θ = 43.04°, rel. 68; 2θ = 50.83°, rel. 24

=====

(3)
Calculated X-ray powder pattern
Compound: K14In2O9
Radiation: a wavelength of 1.5418 Å
Structure: DFT lattice parameters and positions (PBE)

a = 7.8187 Å, b = 7.8187 Å, c = 10.8614 Å
α = 90.00°, β = 90.00°, γ = 120.00°
Atoms (fractional coordinates):
K  0.0000  0.0000  0.2486
K  0.0000  0.0000  0.7514
K  0.0292  0.6702  0.9067
K  0.0797  0.3874  0.5946
K  0.3077  0.9203  0.5946
K  0.3298  0.3591  0.9067
K  0.3591  0.0292  0.0933
K  0.3874  0.3077  0.4054
K  0.6126  0.6923  0.5946
K  0.6409  0.9708  0.9067
K  0.6702  0.6409  0.0933
K  0.6923  0.0797  0.4054
K  0.9203  0.6126  0.4054
K  0.9708  0.3298  0.0933
In  0.3333  0.6667  0.2721
In  0.6667  0.3333  0.7279
O  0.0000  0.0000  0.0000
O  0.0948  0.3841  0.3383
O  0.2893  0.9052  0.3383
O  0.3333  0.6667  0.0730
O  0.3841  0.2893  0.6617
O  0.6159  0.7107  0.3383
O  0.6667  0.3333  0.9270
O  0.7107  0.0948  0.6617
O  0.9052  0.6159  0.6617

The 8 most intense peaks (2θ = 10–80°), by angle:
2θ = 15.42°, rel. 79; 2θ = 27.60°, rel. 33; 2θ = 27.95°, rel. 30; 2θ = 28.12°, rel. 100; 2θ = 36.06°, rel. 47; 2θ = 39.94°, rel. 51; 2θ = 40.45°, rel. 56; 2θ = 49.56°, rel. 15

=====

(4)
Calculated X-ray powder pattern
Compound: KIn6O8
Radiation: a wavelength of 1.5418 Å
Structure: DFT lattice parameters and positions (PBE)

a = 7.0397 Å, b = 7.0397 Å, c = 7.0397 Å
α = 63.43°, β = 63.43°, γ = 63.43°
Atoms (fractional coordinates):
K  0.0000  0.0000  0.0000
In  0.0918  0.5950  0.5950
In  0.4050  0.4050  0.9082
In  0.4050  0.9082  0.4050
In  0.5950  0.0918  0.5950
In  0.5950  0.5950  0.0918
In  0.9082  0.4050  0.4050
O  0.2280  0.7238  0.7238
O  0.2685  0.2685  0.2685
O  0.2762  0.2762  0.7720
O  0.2762  0.7720  0.2762
O  0.7238  0.2280  0.7238
O  0.7238  0.7238  0.2280
O  0.7315  0.7315  0.7315
O  0.7720  0.2762  0.2762

The 8 most intense peaks (2θ = 10–80°), by angle:
2θ = 14.79°, rel. 29; 2θ = 25.37°, rel. 15; 2θ = 28.35°, rel. 100; 2θ = 32.00°, rel. 29; 2θ = 35.24°, rel. 17; 2θ = 38.85°, rel. 38; 2θ = 49.25°, rel. 38; 2θ = 59.94°, rel. 26

=====

(5)
Calculated X-ray powder pattern
Compound: K3In2O4
Radiation: a wavelength of 1.5418 Å
Structure: DFT lattice parameters and positions (PBE)

a = 7.8040 Å, b = 7.8040 Å, c = 6.2182 Å
α = 91.91°, β = 91.91°, γ = 84.50°
Atoms (fractional coordinates):
K  0.0749  0.9251  0.7500
K  0.2041  0.5861  0.4527
K  0.4139  0.7959  0.0473
K  0.5861  0.2041  0.9527
K  0.7959  0.4139  0.5473
K  0.9251  0.0749  0.2500
In  0.1346  0.3476  0.9296
In  0.3476  0.1346  0.4296
In  0.6524  0.8654  0.5704
In  0.8654  0.6524  0.0704
O  0.1323  0.2602  0.5969
O  0.1357  0.6214  0.9860
O  0.2602  0.1323  0.0969
O  0.3786  0.8643  0.5140
O  0.6214  0.1357  0.4860
O  0.7398  0.8677  0.9031
O  0.8643  0.3786  0.0140
O  0.8677  0.7398  0.4031

The 8 most intense peaks (2θ = 10–80°), by angle:
2θ = 15.35°, rel. 100; 2θ = 18.02°, rel. 37; 2θ = 18.56°, rel. 31; 2θ = 27.46°, rel. 56; 2θ = 28.05°, rel. 54; 2θ = 30.50°, rel. 40; 2θ = 30.68°, rel. 29; 2θ = 37.23°, rel. 34

=====

(6)
Calculated X-ray powder pattern
Compound: KInOsO6
Radiation: a wavelength of 1.5418 Å
Structure: DFT lattice parameters and positions (PBE)

a = 5.5564 Å, b = 5.5564 Å, c = 5.7782 Å
α = 90.00°, β = 90.00°, γ = 120.00°
Atoms (fractional coordinates):
K  0.0000  0.0000  0.0000
In  0.3333  0.6667  0.5000
Os  0.6667  0.3333  0.5000
O  0.4159  0.0402  0.6900
O  0.4159  0.3757  0.3100
O  0.6243  0.0402  0.3100
O  0.6243  0.5841  0.6900
O  0.9598  0.3757  0.6900
O  0.9598  0.5841  0.3100

The 8 most intense peaks (2θ = 10–80°), by angle:
2θ = 15.33°, rel. 96; 2θ = 18.44°, rel. 48; 2θ = 24.07°, rel. 100; 2θ = 32.22°, rel. 49; 2θ = 35.86°, rel. 52; 2θ = 40.62°, rel. 19; 2θ = 45.28°, rel. 57; 2θ = 52.77°, rel. 21

=====

(7)
Calculated X-ray powder pattern
Compound: K4In3PbO8
Radiation: a wavelength of 1.5418 Å
Structure: DFT lattice parameters and positions (PBE)

a = 7.3614 Å, b = 7.3614 Å, c = 7.3614 Å
α = 55.48°, β = 55.48°, γ = 55.48°
Atoms (fractional coordinates):
K  0.0000  0.0000  0.0000
K  0.0000  0.5000  0.5000
K  0.5000  0.0000  0.5000
K  0.5000  0.5000  0.0000
In  0.0000  0.0000  0.5000
In  0.0000  0.5000  0.0000
In  0.5000  0.0000  0.0000
Pb  0.5000  0.5000  0.5000
O  0.2157  0.7370  0.7370
O  0.2288  0.2288  0.2288
O  0.2630  0.2630  0.7843
O  0.2630  0.7843  0.2630
O  0.7370  0.2157  0.7370
O  0.7370  0.7370  0.2157
O  0.7712  0.7712  0.7712
O  0.7843  0.2630  0.2630

The 8 most intense peaks (2θ = 10–80°), by angle:
2θ = 14.27°, rel. 85; 2θ = 28.76°, rel. 33; 2θ = 30.51°, rel. 31; 2θ = 31.65°, rel. 70; 2θ = 35.89°, rel. 100; 2θ = 49.78°, rel. 33; 2θ = 53.49°, rel. 31; 2θ = 61.86°, rel. 23